Entry 1:
Structure and theoretical PXRD pattern of NdSmTlNi2 (a DFT-relaxed cell (GGA-PBE, OQMD); Cu Ka).

Largest 12 diffraction maxima, sorted by position, 2θ from 10° to 80°:
| 2theta | d_spacing | I/Imax |
| --- | --- | --- |
| 28.8 | 3.097 | 47 |
| 33.2 | 2.702 | 100 |
| 34.0 | 2.636 | 70 |
| 36.7 | 2.449 | 14 |
| 38.0 | 2.368 | 36 |
| 45.4 | 1.999 | 22 |
| 48.1 | 1.893 | 19 |
| 55.0 | 1.668 | 19 |
| 57.0 | 1.615 | 15 |
| 57.9 | 1.593 | 31 |
| 62.8 | 1.479 | 16 |
| 68.2 | 1.375 | 13 |

Cell: 3.7869 7.6128 7.6128 Å, 30.44 90.00 90.00°
Atoms (fractional coordinates):
Nd: 0.0000 0.0000 0.0000
Sm: 0.0000 0.2762 0.2762
Tl: 0.5000 0.6392 0.6392
Ni: 0.5000 0.4347 0.4347
Ni: 0.5000 0.8388 0.8388


Entry 2:
Structure and theoretical PXRD pattern of Dy2YCd3AgHg2 (a DFT-relaxed cell (GGA-PBE, OQMD); Cu Ka).

Largest 12 diffraction maxima, sorted by position, 2θ from 10° to 80°:
| 2theta | d_spacing | I/Imax |
| --- | --- | --- |
| 22.6 | 3.932 | 14 |
| 31.8 | 2.816 | 100 |
| 34.5 | 2.602 | 94 |
| 34.9 | 2.574 | 45 |
| 39.7 | 2.270 | 51 |
| 41.6 | 2.170 | 38 |
| 44.9 | 2.018 | 27 |
| 58.1 | 1.588 | 20 |
| 61.5 | 1.508 | 28 |
| 62.5 | 1.486 | 11 |
| 63.9 | 1.457 | 33 |
| 67.1 | 1.394 | 13 |

Cell: 4.0359 7.8637 7.8637 Å, 120.01 90.00 90.00°
Atoms (fractional coordinates):
Dy: 0.0000 0.2027 0.7973
Dy: 0.0000 0.7973 0.2027
Y: 0.0000 0.6083 0.6083
Cd: 0.5000 0.2029 0.4580
Cd: 0.5000 0.4580 0.2029
Cd: 0.5000 0.9473 0.9473
Ag: 0.0000 0.2020 0.2020
Hg: 0.5000 0.5359 0.8701
Hg: 0.5000 0.8701 0.5359


Entry 3:
Structure and theoretical PXRD pattern of Ni5As2 (a DFT-relaxed cell (GGA-PBE, OQMD); Cu Ka).

Largest 12 diffraction maxima, sorted by position, 2θ from 10° to 80°:
| 2theta | d_spacing | I/Imax |
| --- | --- | --- |
| 29.9 | 2.986 | 8 |
| 39.3 | 2.294 | 7 |
| 41.1 | 2.195 | 17 |
| 42.3 | 2.138 | 25 |
| 45.2 | 2.006 | 87 |
| 46.2 | 1.966 | 100 |
| 50.4 | 1.811 | 13 |
| 51.7 | 1.768 | 14 |
| 55.3 | 1.661 | 7 |
| 66.6 | 1.404 | 15 |
| 71.8 | 1.315 | 5 |
| 76.8 | 1.241 | 14 |

Cell: 6.8118 6.8118 12.4100 Å, 90.00 90.00 120.00°
Atoms (fractional coordinates):
Ni: 0.0000 0.0000 0.0205
Ni: 0.0000 0.0000 0.5205
Ni: 0.0000 0.2539 0.6906
Ni: 0.0000 0.3097 0.8972
Ni: 0.0000 0.3751 0.5000
Ni: 0.0000 0.3760 0.2881
Ni: 0.0000 0.6240 0.7881
Ni: 0.0000 0.6249 0.0000
Ni: 0.0000 0.6903 0.3972
Ni: 0.0000 0.7461 0.1906
Ni: 0.2539 0.0000 0.6906
Ni: 0.2539 0.2539 0.1906
Ni: 0.3097 0.0000 0.8972
Ni: 0.3097 0.3097 0.3972
Ni: 0.3333 0.6667 0.1621
Ni: 0.3333 0.6667 0.6621
Ni: 0.3751 0.0000 0.5000
Ni: 0.3751 0.3751 0.0000
Ni: 0.3760 0.0000 0.2881
Ni: 0.3760 0.3760 0.7881
Ni: 0.6240 0.0000 0.7881
Ni: 0.6240 0.6240 0.2881
Ni: 0.6249 0.0000 0.0000
Ni: 0.6249 0.6249 0.5000
Ni: 0.6667 0.3333 0.1621
Ni: 0.6667 0.3333 0.6621
Ni: 0.6903 0.0000 0.3972
Ni: 0.6903 0.6903 0.8972
Ni: 0.7461 0.0000 0.1906
Ni: 0.7461 0.7461 0.6906
As: 0.0000 0.0000 0.3232
As: 0.0000 0.0000 0.8232
As: 0.0000 0.3306 0.0921
As: 0.0000 0.6694 0.5921
As: 0.3306 0.0000 0.0921
As: 0.3306 0.3306 0.5921
As: 0.3333 0.6667 0.3659
As: 0.3333 0.6667 0.8659
As: 0.6667 0.3333 0.3659
As: 0.6667 0.3333 0.8659
As: 0.6694 0.0000 0.5921
As: 0.6694 0.6694 0.0921


Entry 4:
Structure and theoretical PXRD pattern of Dy2Mg3Pd2 (a DFT-relaxed cell (GGA-PBE, OQMD); Cu Ka).

Largest 12 diffraction maxima, sorted by position, 2θ from 10° to 80°:
| 2theta | d_spacing | I/Imax |
| --- | --- | --- |
| 25.3 | 3.522 | 29 |
| 32.8 | 2.729 | 47 |
| 33.9 | 2.642 | 20 |
| 35.0 | 2.563 | 100 |
| 35.5 | 2.528 | 31 |
| 36.6 | 2.455 | 29 |
| 39.1 | 2.306 | 62 |
| 42.9 | 2.110 | 29 |
| 44.1 | 2.052 | 19 |
| 50.3 | 1.815 | 17 |
| 56.8 | 1.620 | 19 |
| 68.2 | 1.376 | 14 |

Cell: 10.7759 10.7759 3.6295 Å, 90.00 90.00 157.42°
Atoms (fractional coordinates):
Dy: 0.1724 0.8276 0.0000
Dy: 0.8276 0.1724 0.0000
Mg: 0.0000 0.0000 0.0000
Mg: 0.4248 0.5752 0.5000
Mg: 0.5752 0.4248 0.5000
Pd: 0.2949 0.7051 0.5000
Pd: 0.7051 0.2949 0.5000


Entry 5:
Structure and theoretical PXRD pattern of Dy3Ga2 (a DFT-relaxed cell (GGA-PBE, OQMD); Cu Ka).

Largest 12 diffraction maxima, sorted by position, 2θ from 10° to 80°:
| 2theta | d_spacing | I/Imax |
| --- | --- | --- |
| 23.9 | 3.722 | 17 |
| 32.3 | 2.768 | 85 |
| 32.5 | 2.758 | 24 |
| 32.7 | 2.738 | 32 |
| 33.1 | 2.703 | 43 |
| 34.3 | 2.614 | 100 |
| 34.5 | 2.598 | 27 |
| 34.7 | 2.583 | 20 |
| 36.7 | 2.450 | 31 |
| 54.0 | 1.697 | 19 |
| 56.0 | 1.643 | 18 |
| 61.7 | 1.503 | 20 |

Cell: 11.0852 11.0852 11.0852 Å, 116.80 116.80 95.64°
Atoms (fractional coordinates):
Dy: 0.0672 0.9317 0.2696
Dy: 0.0683 0.3378 0.1355
Dy: 0.1473 0.6473 0.5000
Dy: 0.1622 0.4317 0.8645
Dy: 0.1686 0.3314 0.5000
Dy: 0.2023 0.9328 0.8645
Dy: 0.2977 0.1622 0.7304
Dy: 0.3314 0.8314 0.1627
Dy: 0.3378 0.2023 0.2696
Dy: 0.3527 0.8527 0.5000
Dy: 0.4317 0.5672 0.2696
Dy: 0.4328 0.7023 0.8645
Dy: 0.5672 0.2977 0.1355
Dy: 0.5683 0.4328 0.7304
Dy: 0.6473 0.1473 0.5000
Dy: 0.6622 0.7977 0.7304
Dy: 0.6686 0.1686 0.8373
Dy: 0.7023 0.8378 0.2696
Dy: 0.7977 0.0672 0.1355
Dy: 0.8314 0.6686 0.5000
Dy: 0.8378 0.5683 0.1355
Dy: 0.8527 0.3527 0.5000
Dy: 0.9317 0.6622 0.8645
Dy: 0.9328 0.0683 0.7304
Ga: 0.0000 0.0000 0.0000
Ga: 0.0236 0.8792 0.5000
Ga: 0.1161 0.6161 0.7323
Ga: 0.1208 0.6208 0.1444
Ga: 0.2500 0.2500 0.0000
Ga: 0.3792 0.5236 0.5000
Ga: 0.3839 0.1161 0.5000
Ga: 0.4764 0.9764 0.8556
Ga: 0.5000 0.5000 0.0000
Ga: 0.5236 0.0236 0.1444
Ga: 0.6161 0.8839 0.5000
Ga: 0.6208 0.4764 0.5000
Ga: 0.7500 0.7500 0.0000
Ga: 0.8792 0.3792 0.8556
Ga: 0.8839 0.3839 0.2677
Ga: 0.9764 0.1208 0.5000


Entry 6:
Structure and theoretical PXRD pattern of YHoCu2N4 (a DFT-relaxed cell (GGA-PBE, OQMD); Cu Ka).

Largest 12 diffraction maxima, sorted by position, 2θ from 10° to 80°:
| 2theta | d_spacing | I/Imax |
| --- | --- | --- |
| 10.6 | 8.312 | 32 |
| 28.7 | 3.111 | 100 |
| 32.3 | 2.771 | 34 |
| 34.4 | 2.611 | 46 |
| 39.5 | 2.281 | 33 |
| 42.3 | 2.136 | 18 |
| 43.9 | 2.060 | 95 |
| 51.7 | 1.767 | 28 |
| 54.7 | 1.677 | 32 |
| 62.9 | 1.477 | 23 |
| 65.0 | 1.435 | 19 |
| 69.0 | 1.361 | 22 |

Cell: 3.3550 3.3550 8.3120 Å, 90.00 90.00 90.00°
Atoms (fractional coordinates):
Y: 0.0000 0.0000 0.0000
Ho: 0.5000 0.5000 0.3962
Cu: 0.0000 0.5000 0.6971
Cu: 0.5000 0.0000 0.6971
N: 0.0000 0.0000 0.5358
N: 0.0000 0.5000 0.2003
N: 0.5000 0.0000 0.2003
N: 0.5000 0.5000 0.8599


Entry 7:
Structure and theoretical PXRD pattern of Cd2SnTe2F2 (a DFT-relaxed cell (GGA-PBE, OQMD); Cu Ka).

Largest 12 diffraction maxima, sorted by position, 2θ from 10° to 80°:
| 2theta | d_spacing | I/Imax |
| --- | --- | --- |
| 23.9 | 3.726 | 25 |
| 28.6 | 3.126 | 100 |
| 31.5 | 2.842 | 32 |
| 32.8 | 2.733 | 20 |
| 35.1 | 2.558 | 61 |
| 36.4 | 2.468 | 77 |
| 42.8 | 2.115 | 20 |
| 45.1 | 2.010 | 48 |
| 51.2 | 1.783 | 21 |
| 54.3 | 1.690 | 32 |
| 58.4 | 1.580 | 27 |
| 74.7 | 1.271 | 21 |

Cell: 4.0190 4.0190 9.9476 Å, 90.00 90.00 90.00°
Atoms (fractional coordinates):
Cd: 0.0000 0.5000 0.1352
Cd: 0.5000 0.0000 0.8648
Sn: 0.5000 0.5000 0.5000
Te: 0.0000 0.5000 0.7183
Te: 0.5000 0.0000 0.2817
F: 0.0000 0.0000 0.0000
F: 0.5000 0.5000 0.0000


Entry 8:
Structure and theoretical PXRD pattern of YAlFeOs (a DFT-relaxed cell (GGA-PBE, OQMD); Cu Ka).

Largest 10 diffraction maxima, sorted by position, 2θ from 10° to 80°:
| 2theta | d_spacing | I/Imax |
| --- | --- | --- |
| 24.1 | 3.695 | 37 |
| 27.9 | 3.200 | 16 |
| 39.8 | 2.263 | 100 |
| 47.1 | 1.930 | 20 |
| 49.3 | 1.848 | 5 |
| 57.6 | 1.600 | 17 |
| 63.3 | 1.468 | 8 |
| 65.2 | 1.431 | 6 |
| 72.3 | 1.306 | 34 |
| 77.5 | 1.232 | 6 |

Cell: 4.5256 4.5256 4.5256 Å, 60.00 60.00 60.00°
Atoms (fractional coordinates):
Y: 0.0000 0.0000 0.0000
Al: 0.5000 0.5000 0.5000
Fe: 0.7500 0.7500 0.7500
Os: 0.2500 0.2500 0.2500